La4Pr2Y: computed X-ray powder pattern (Cu Kα), based on the PBE geometry in Alexandria.

Largest 12 diffraction maxima, low angle first, 2θ from 15° to 90°:
two_theta, I (rel.)
27.50, 24
29.76, 25
31.34, 100
40.96, 16
48.62, 19
53.82, 21
58.05, 23
58.99, 16
75.44, 8
79.85, 13
82.33, 8
86.40, 6

Cell and atoms:
a = 7.075 Å, b = 8.838 Å, c = 9.605 Å
α = 64.86°, β = 71.05°, γ = 76.11°
Space group P1 (No. 1)
Inequivalent atoms, fractional coordinates:
La 0.000 0.000 0.000 x1
La 0.042 0.190 0.263 x1
La 0.185 0.764 0.548 x1
La 0.280 0.145 0.571 x1
La 0.327 0.339 0.832 x1
La 0.426 0.714 0.860 x1
La 0.851 0.427 0.718 x1
La 0.897 0.618 0.977 x1
Pr 0.140 0.574 0.284 x1
Pr 0.476 0.909 0.121 x1
Pr 0.618 0.479 0.403 x1
Pr 0.753 0.049 0.690 x1
Y 0.567 0.284 0.147 x1
Y 0.707 0.858 0.429 x1

=====

La6PrY4: computed X-ray powder pattern (Cu Kα), based on the PBE geometry in Alexandria.

Largest 12 diffraction maxima, low angle first, 2θ from 15° to 90°:
two_theta, I (rel.)
24.07, 18
27.35, 21
29.22, 20
30.65, 100
31.68, 92
34.61, 23
44.66, 25
47.62, 12
53.16, 12
55.79, 17
56.43, 14
60.60, 28

Cell and atoms:
a = 11.2968 Å, b = 11.2968 Å, c = 3.6340 Å
α = 90.00°, β = 90.00°, γ = 120.00°
Space group P-6m2 (No. 187)
Inequivalent atoms, fractional coordinates:
La 0.0297 0.5149 0.0000 x3
La 0.1413 0.2825 0.5000 x3
Pr 0.6667 0.3333 0.5000 x1
Y 0.3333 0.6667 0.5000 x1
Y 0.3437 0.1719 0.0000 x3

=====

LaPr12Y2: computed X-ray powder pattern (Cu Kα), based on the PBE geometry in Alexandria.

Largest 12 diffraction maxima, low angle first, 2θ from 15° to 90°:
two_theta, I (rel.)
25.47, 24
28.26, 29
28.96, 54
29.69, 68
30.30, 79
30.75, 23
32.13, 100
35.97, 49
46.70, 20
55.00, 20
56.69, 22
59.71, 21

Cell and atoms:
a = 7.279 Å, b = 11.797 Å, c = 25.312 Å
α = 90.00°, β = 90.00°, γ = 90.00°
Space group Cmme (No. 67)
Inequivalent atoms, fractional coordinates:
La 0.000 0.250 0.006 x4
Pr 0.000 0.012 0.925 x8
Pr 0.000 0.025 0.440 x8
Pr 0.230 0.250 0.584 x8
Pr 0.244 0.250 0.134 x8
Pr 0.250 0.000 0.200 x8
Pr 0.250 0.000 0.325 x8
Y 0.000 0.250 0.272 x4
Y 0.000 0.250 0.732 x4

=====

LaPr3Y7: computed X-ray powder pattern (Cu Kα), based on the PBE geometry in Alexandria.

Largest 12 diffraction maxima, low angle first, 2θ from 15° to 90°:
two_theta, I (rel.)
18.48, 23
30.86, 24
31.01, 26
31.35, 100
31.46, 73
31.63, 25
31.87, 66
32.19, 76
45.51, 19
56.49, 27
56.99, 21
62.23, 25

Cell and atoms:
a = 7.043 Å, b = 5.617 Å, c = 10.200 Å
α = 90.00°, β = 109.74°, γ = 90.00°
Space group P2/m (No. 10)
Inequivalent atoms, fractional coordinates:
La 0.000 0.000 0.000 x1
Pr 0.283 0.500 0.499 x2
Pr 0.500 0.000 0.000 x1
Y 0.000 0.000 0.500 x1
Y 0.143 0.500 0.787 x2
Y 0.321 0.500 0.137 x2
Y 0.418 0.000 0.330 x2

=====

La4Pr15Y: computed X-ray powder pattern (Cu Kα), based on the PBE geometry in Alexandria.

Largest 12 diffraction maxima, low angle first, 2θ from 15° to 90°:
two_theta, I (rel.)
29.44, 100
34.08, 34
34.19, 17
49.02, 36
58.17, 29
58.31, 14
61.08, 12
71.77, 4
79.41, 6
79.53, 12
81.92, 11
82.13, 5

Cell and atoms:
a = 5.261 Å, b = 5.261 Å, c = 26.227 Å
α = 90.00°, β = 90.00°, γ = 90.00°
Space group P4/mmm (No. 123)
Inequivalent atoms, fractional coordinates:
La 0.000 0.000 0.100 x2
La 0.000 0.000 0.301 x2
Pr 0.000 0.500 0.000 x2
Pr 0.000 0.500 0.200 x4
Pr 0.000 0.500 0.402 x4
Pr 0.500 0.500 0.100 x2
Pr 0.500 0.500 0.301 x2
Pr 0.500 0.500 0.500 x1
Y 0.000 0.000 0.500 x1

=====

LaPr3Y2: computed X-ray powder pattern (Cu Kα), based on the PBE geometry in Alexandria.

Largest 12 diffraction maxima, low angle first, 2θ from 15° to 90°:
two_theta, I (rel.)
19.11, 3
29.81, 100
34.55, 51
49.66, 30
49.72, 6
59.00, 35
59.06, 7
61.85, 6
61.97, 6
72.88, 6
80.68, 11
83.25, 13

Cell and atoms:
a = 10.376 Å, b = 7.336 Å, c = 12.191 Å
α = 90.00°, β = 115.18°, γ = 90.00°
Space group C2/c (No. 15)
Inequivalent atoms, fractional coordinates:
La 0.000 0.126 0.250 x4
Pr 0.000 0.375 0.750 x4
Pr 0.167 0.125 0.584 x8
Y 0.166 0.375 0.082 x8

=====

La6PrY2: computed X-ray powder pattern (Cu Kα), based on the PBE geometry in Alexandria.

Largest 12 diffraction maxima, low angle first, 2θ from 15° to 90°:
two_theta, I (rel.)
28.98, 55
29.27, 58
30.03, 54
31.11, 100
34.60, 31
37.84, 31
45.21, 13
49.20, 29
50.30, 13
53.08, 21
53.38, 30
64.84, 18

Cell and atoms:
a = 9.496 Å, b = 18.305 Å, c = 3.729 Å
α = 90.00°, β = 99.02°, γ = 90.00°
Space group C2/m (No. 12)
Inequivalent atoms, fractional coordinates:
La 0.167 0.000 0.317 x4
La 0.169 0.171 0.825 x8
Pr 0.000 0.500 0.000 x2
Y 0.000 0.336 0.500 x4

=====

La2Pr3Y5: computed X-ray powder pattern (Cu Kα), based on the PBE geometry in Alexandria.

Largest 12 diffraction maxima, low angle first, 2θ from 15° to 90°:
two_theta, I (rel.)
20.90, 17
29.25, 81
30.81, 100
31.76, 29
33.17, 44
35.78, 28
39.59, 23
46.58, 20
48.44, 27
59.97, 28
62.34, 23
68.36, 18

Cell and atoms:
a = 10.802 Å, b = 17.005 Å, c = 9.262 Å
α = 90.00°, β = 125.66°, γ = 90.00°
Space group C2/c (No. 15)
Inequivalent atoms, fractional coordinates:
La 0.147 0.127 0.042 x8
Pr 0.000 0.023 0.250 x4
Pr 0.146 0.374 0.544 x8
Y 0.000 0.223 0.250 x4
Y 0.000 0.278 0.750 x4
Y 0.000 0.475 0.750 x4
Y 0.246 0.368 0.249 x8